Record 1
Starting from DFT lattice parameters and positions (GGA-PBE), the powder X-ray diffraction pattern of La8CoTc2 was computed for Cu Kα (λ = 1.5418 Å).
No peak broadening, texture or thermal motion is included.

Principal peaks in the range 10° ≤ 2θ ≤ 90°, low angle first:
2θ = 28.18°, I 87.7
2θ = 29.27°, I 77.0
2θ = 30.17°, I 100.0
2θ = 30.47°, I 64.0
2θ = 31.38°, I 60.9
2θ = 32.16°, I 78.6

Structure:
a = 9.8060 Å, b = 9.8060 Å, c = 8.8326 Å
α = 92.73°, β = 92.73°, γ = 23.83°
Element x y z (fractional)
La: 0.0112 0.0112 0.2008
La: 0.2210 0.2210 0.3300
La: 0.3476 0.3476 0.0435
La: 0.4037 0.4037 0.4495
La: 0.5963 0.5963 0.5505
La: 0.6524 0.6524 0.9565
La: 0.7790 0.7790 0.6700
La: 0.9888 0.9888 0.7992
Co: 0.5000 0.5000 0.0000
Tc: 0.1701 0.1701 0.7002
Tc: 0.8299 0.8299 0.2998

=====

Record 2
Starting from DFT lattice parameters and positions (GGA-PBE), the powder X-ray diffraction pattern of PrUPbO6 was computed for Cu Kα (λ = 1.5418 Å).
No peak broadening, texture or thermal motion is included.

Principal peaks in the range 10° ≤ 2θ ≤ 90°, low angle first:
2θ = 25.16°, I 100.0
2θ = 29.66°, I 58.0
2θ = 39.27°, I 31.3
2θ = 48.37°, I 42.1
2θ = 49.97°, I 32.1
2θ = 52.63°, I 18.2

Structure:
a = 6.0245 Å, b = 6.0245 Å, c = 4.8195 Å
α = 90.00°, β = 90.00°, γ = 120.00°
Element x y z (fractional)
Pr: 0.0000 0.0000 0.0000
U: 0.3333 0.6667 0.0000
Pb: 0.6667 0.3333 0.5000
O: 0.0384 0.3700 0.2258
O: 0.0384 0.6684 0.7742
O: 0.3316 0.3700 0.7742
O: 0.3316 0.9616 0.2258
O: 0.6300 0.6684 0.2258
O: 0.6300 0.9616 0.7742

=====

Record 3
Starting from DFT lattice parameters and positions (GGA-PBE), the powder X-ray diffraction pattern of NaLi6Ag was computed for Cu Kα (λ = 1.5418 Å).
No peak broadening, texture or thermal motion is included.

Principal peaks in the range 10° ≤ 2θ ≤ 90°, low angle first:
2θ = 18.51°, I 100.0
2θ = 19.36°, I 30.5
2θ = 25.29°, I 26.7
2θ = 26.14°, I 29.8
2θ = 31.53°, I 53.1
2θ = 36.68°, I 29.7

Structure:
a = 7.6754 Å, b = 7.6754 Å, c = 13.4720 Å
α = 90.00°, β = 90.00°, γ = 125.38°
Element x y z (fractional)
Na: 0.0000 0.0000 0.2266
Na: 0.0000 0.0000 0.7734
Na: 0.2357 0.7643 0.5000
Na: 0.7643 0.2357 0.5000
Li: 0.0000 0.0000 0.0000
Li: 0.0000 0.0000 0.5000
Li: 0.1437 0.4165 0.1112
Li: 0.1437 0.4165 0.8888
Li: 0.1653 0.3935 0.3544
Li: 0.1653 0.3935 0.6456
Li: 0.2439 0.7561 0.2375
Li: 0.2439 0.7561 0.7625
Li: 0.3935 0.1653 0.3544
Li: 0.3935 0.1653 0.6456
Li: 0.4165 0.1437 0.1112
Li: 0.4165 0.1437 0.8888
Li: 0.5000 0.5000 0.0000
Li: 0.5000 0.5000 0.5000
Li: 0.5835 0.8563 0.1112
Li: 0.5835 0.8563 0.8888
Li: 0.6065 0.8347 0.3544
Li: 0.6065 0.8347 0.6456
Li: 0.7561 0.2439 0.2375
Li: 0.7561 0.2439 0.7625
Li: 0.8347 0.6065 0.3544
Li: 0.8347 0.6065 0.6456
Li: 0.8563 0.5835 0.1112
Li: 0.8563 0.5835 0.8888
Ag: 0.2284 0.7716 0.0000
Ag: 0.5000 0.5000 0.2224
Ag: 0.5000 0.5000 0.7776
Ag: 0.7716 0.2284 0.0000

=====

Record 4
Starting from DFT lattice parameters and positions (GGA-PBE), the powder X-ray diffraction pattern of Rb3PaBi3Se8 was computed for Cu Kα (λ = 1.5418 Å).
No peak broadening, texture or thermal motion is included.

Principal peaks in the range 10° ≤ 2θ ≤ 90°, low angle first:
2θ = 10.80°, I 64.4
2θ = 27.99°, I 100.0
2θ = 37.94°, I 35.5
2θ = 41.96°, I 36.1
2θ = 51.20°, I 18.9
2θ = 68.27°, I 15.9

Structure:
a = 8.6111 Å, b = 8.6111 Å, c = 9.5866 Å
α = 116.71°, β = 116.71°, γ = 60.03°
Element x y z (fractional)
Rb: 0.0000 0.0000 0.0000
Rb: 0.0000 0.5000 0.0000
Rb: 0.5000 0.0000 0.0000
Pa: 0.0000 0.0000 0.5000
Bi: 0.0000 0.5000 0.5000
Bi: 0.5000 0.0000 0.5000
Bi: 0.5000 0.5000 0.5000
Se: 0.2260 0.2260 0.6938
Se: 0.2259 0.7423 0.6938
Se: 0.2577 0.7741 0.3062
Se: 0.2663 0.2663 0.2993
Se: 0.7337 0.7337 0.7007
Se: 0.7423 0.2259 0.6938
Se: 0.7741 0.2577 0.3062
Se: 0.7740 0.7740 0.3062